1.
Simulated powder diffraction line list
Compound: InMo6S8
Radiation: λ = 1.5418 Å (Cu Kα)
Structure: DFT lattice parameters and positions (PBE)
Peak positions follow from Bragg's law for the DFT cell and can differ from measured ones.

Main lines, in order of falling intensity (10 to 90 degrees two-theta):
13.44 deg, I = 100.0; 41.11 deg, I = 97.3; 45.69 deg, I = 73.2; 43.45 deg, I = 67.6; 19.06 deg, I = 67.0; 30.35 deg, I = 65.9; 33.32 deg, I = 58.6; 51.95 deg, I = 38.7

Cell and atoms:
Cell: 6.586 6.586 6.586 Å, 89.99 89.99 89.99°
Positions (direct):
In 0.000 0.000 0.000
Mo 0.224 0.415 0.560
Mo 0.415 0.560 0.224
Mo 0.440 0.776 0.585
Mo 0.560 0.224 0.415
Mo 0.585 0.440 0.776
Mo 0.776 0.585 0.440
S 0.128 0.736 0.380
S 0.240 0.240 0.240
S 0.264 0.620 0.872
S 0.380 0.128 0.736
S 0.620 0.872 0.264
S 0.736 0.380 0.128
S 0.760 0.760 0.760
S 0.872 0.264 0.620


2.
Simulated powder diffraction line list
Compound: InMo6Se4S4
Radiation: λ = 1.5418 Å (Cu Kα)
Structure: DFT lattice parameters and positions (PBE)
Peak positions follow from Bragg's law for the DFT cell and can differ from measured ones.

Main lines, in order of falling intensity (10 to 90 degrees two-theta):
13.17 deg, I = 100.0; 40.09 deg, I = 77.2; 18.55 deg, I = 63.7; 39.97 deg, I = 54.6; 44.24 deg, I = 45.4; 32.50 deg, I = 45.1; 44.63 deg, I = 43.5; 29.70 deg, I = 39.6

Cell and atoms:
Cell: 6.708 6.746 6.802 Å, 90.02 90.01 90.25°
Positions (direct):
In 0.000 0.000 0.000
Mo 0.228 0.561 0.418
Mo 0.414 0.230 0.553
Mo 0.441 0.587 0.761
Mo 0.554 0.425 0.236
Mo 0.581 0.772 0.441
Mo 0.765 0.449 0.580
Se 0.120 0.377 0.748
Se 0.374 0.754 0.120
Se 0.618 0.255 0.876
Se 0.750 0.127 0.374
S 0.239 0.249 0.247
S 0.271 0.871 0.612
S 0.757 0.760 0.750
S 0.868 0.620 0.274